[1]
ZnCdPb2: theoretical X-ray powder pattern (λ = 1.5418 Å (Cu Kα)), based on a DFT-relaxed cell (GGA-PBE, Alexandria).
Kinematic intensities with the Lorentz-polarization factor, no thermal factor.

Cell and atoms:
abc: 4.5475 4.5475 10.1460
angles: 90.00 90.00 90.00
Space group I-4m2 (No. 119)
One atom of each set of equivalent atoms:
1 Zn 0.0000 0.0000 0.0000 x2
2 Cd 0.0000 0.5000 0.7500 x2
3 Pb 0.0000 0.0000 0.5000 x2
4 Pb 0.0000 0.5000 0.2500 x2

Top 10 peaks for 10° ≤ 2θ ≤ 90°, by angle:
| h k l | 2theta | I/Imax |
| --- | --- | --- |
| 1 0 1 | 21.41 | 19 |
| 1 1 2 | 32.98 | 100 |
| 0 0 4 | 35.39 | 19 |
| 2 0 0 | 39.64 | 28 |
| 2 0 4 | 54.17 | 23 |
| 2 2 0 | 57.30 | 10 |
| 1 1 6 | 62.01 | 15 |
| 3 1 2 | 67.73 | 24 |
| 2 2 4 | 69.18 | 11 |
| 3 1 6 | 89.45 | 12 |

[2]
Ce4Mn3Ga16: theoretical X-ray powder pattern (λ = 1.5418 Å (Cu Kα)), based on a DFT-relaxed cell (GGA-PBE, Alexandria).
Kinematic intensities with the Lorentz-polarization factor, no thermal factor.

Cell and atoms:
abc: 6.1953 6.1953 11.2537
angles: 90.00 90.00 90.00
Space group P4/mmm (No. 123)
One atom of each set of equivalent atoms:
1 Ce 0.0000 0.5000 0.1941 x4
2 Mn 0.0000 0.0000 0.0000 x1
3 Mn 0.0000 0.5000 0.5000 x2
4 Ga 0.0000 0.0000 0.2221 x2
5 Ga 0.2499 0.2499 0.3827 x8
6 Ga 0.2847 0.2847 0.0000 x4
7 Ga 0.5000 0.5000 0.1945 x2

Top 10 peaks for 10° ≤ 2θ ≤ 90°, by angle:
| h k l | 2theta | I/Imax |
| --- | --- | --- |
| 1 1 3 | 31.40 | 19 |
| 2 0 2 | 33.01 | 53 |
| 2 0 3 | 37.66 | 100 |
| 0 0 5 | 40.06 | 27 |
| 2 2 0 | 41.21 | 72 |
| 2 0 4 | 43.45 | 18 |
| 2 2 5 | 58.83 | 32 |
| 4 0 0 | 59.70 | 22 |
| 4 2 3 | 72.77 | 24 |
| 4 0 5 | 74.34 | 15 |

[3]
CuAgAsO4: theoretical X-ray powder pattern (λ = 1.5418 Å (Cu Kα)), based on a DFT-relaxed cell (GGA-PBE, Alexandria).
Kinematic intensities with the Lorentz-polarization factor, no thermal factor.

Cell and atoms:
abc: 5.7039 5.7039 6.1586
angles: 90.00 90.00 90.00
Space group I-4 (No. 82)
One atom of each set of equivalent atoms:
1 Cu 0.0000 0.0000 0.0000 x2
2 Ag 0.0000 0.0000 0.5000 x2
3 As 0.0000 0.5000 0.7500 x2
4 O 0.1504 0.7030 0.9072 x8

Top 10 peaks for 10° ≤ 2θ ≤ 90°, by angle:
| h k l | 2theta | I/Imax |
| --- | --- | --- |
| 1 0 1 | 21.23 | 63 |
| 1 1 0 | 22.04 | 24 |
| 0 0 2 | 29.00 | 12 |
| 2 0 0 | 31.37 | 56 |
| 1 1 2 | 36.72 | 100 |
| 1 2 1 | 38.19 | 24 |
| 2 2 0 | 44.95 | 31 |
| 3 1 2 | 59.38 | 49 |
| 2 0 4 | 69.36 | 17 |
| 2 4 0 | 74.38 | 13 |